The following is a computed powder diffraction line list of CaPd4Au8. It was derived from a cell relaxed with GGA-PBE, using CuKα.
Neutral-atom scattering factors, no anomalous dispersion.

Principal peaks in the range 5 to 70 degrees two-theta, by intensity:
2θ (°)  d (Å)  Rel. int.
42.38  2.133  100
38.38  2.345  85
43.19  2.095  51
38.67  2.328  51
32.99  2.715  38
31.97  2.800  35
37.48  2.399  33
43.46  2.082  33
69.80  1.347  31
27.08  3.293  27

Structure:
```
13
Lattice="-4.6564 4.6564 2.7997 4.6564 -4.6564 2.7997 4.6564 4.6564 -2.7997" Properties=species:S:1:pos:R:3 pbc="T T T"
Ca 0.0000 0.0000 0.0000
Pd 2.3282 2.3282 -1.3998
Pd 2.3282 -2.3282 1.3998
Pd -2.3282 2.3282 1.3998
Pd 2.3282 2.3282 1.3998
Au 3.1476 0.0000 0.0000
Au 6.1652 0.0000 0.0000
Au 4.6564 2.6082 0.0000
Au 0.0000 3.1476 0.0000
Au 2.6082 4.6564 0.0000
Au 2.0482 0.0000 2.7997
Au 0.0000 6.1652 0.0000
Au 0.0000 2.0482 2.7997
```